No. 1
For Na2Hg8Pt, a GGA-PBE-relaxed structure gives the simulated X-ray diffraction stick pattern in this record (copper Kα).
Peak positions follow from Bragg's law for the DFT cell and can differ from measured ones.

Atomic structure:
a = 4.8037 Å, b = 4.8037 Å, c = 11.7191 Å
α = 90.00°, β = 90.00°, γ = 90.00°
Atoms (fractional coordinates):
Na: 0.0000 0.0000 0.1891
Na: 0.0000 0.0000 0.8109
Hg: 0.0000 0.5000 0.0000
Hg: 0.0000 0.5000 0.3680
Hg: 0.0000 0.5000 0.6320
Hg: 0.5000 0.0000 0.0000
Hg: 0.5000 0.0000 0.3680
Hg: 0.5000 0.0000 0.6320
Hg: 0.5000 0.5000 0.1880
Hg: 0.5000 0.5000 0.8120
Pt: 0.0000 0.0000 0.5000

The 6 most intense peaks (10 to 90 degrees two-theta), most intense first:
| d (Å) | I/Imax |
| --- | --- |
| 2.563 | 100 |
| 2.402 | 53 |
| 1.416 | 32 |
| 3.715 | 19 |
| 1.698 | 19 |
| 4.445 | 16 |

=====

No. 2
For CsTl4Ag3Br12, a GGA-PBE-relaxed structure gives the simulated X-ray diffraction stick pattern in this record (copper Kα).
Peak positions follow from Bragg's law for the DFT cell and can differ from measured ones.

Atomic structure:
a = 9.6701 Å, b = 9.6701 Å, c = 9.6701 Å
α = 109.47°, β = 109.47°, γ = 109.47°
Atoms (fractional coordinates):
Cs: 0.0000 0.0000 0.0000
Tl: 0.0000 0.0000 0.5000
Tl: 0.0000 0.5000 0.0000
Tl: 0.5000 0.0000 0.0000
Tl: 0.5000 0.5000 0.5000
Ag: 0.0000 0.5000 0.5000
Ag: 0.5000 0.0000 0.5000
Ag: 0.5000 0.5000 0.0000
Br: 0.1563 0.3222 0.8342
Br: 0.1658 0.4880 0.3222
Br: 0.1658 0.8437 0.6778
Br: 0.3222 0.1658 0.4880
Br: 0.3222 0.8342 0.1563
Br: 0.4880 0.3222 0.1658
Br: 0.5120 0.6778 0.8342
Br: 0.6778 0.1658 0.8437
Br: 0.6778 0.8342 0.5120
Br: 0.8342 0.1563 0.3222
Br: 0.8342 0.5120 0.6778
Br: 0.8437 0.6778 0.1658

The 6 most intense peaks (10 to 90 degrees two-theta), most intense first:
| d (Å) | I/Imax |
| --- | --- |
| 2.279 | 100 |
| 3.948 | 94 |
| 1.316 | 37 |
| 3.531 | 37 |
| 2.792 | 35 |
| 1.766 | 30 |

=====

No. 3
For KBaSiHO4, a GGA-PBE-relaxed structure gives the simulated X-ray diffraction stick pattern in this record (copper Kα).
Peak positions follow from Bragg's law for the DFT cell and can differ from measured ones.

Atomic structure:
a = 5.8865 Å, b = 8.1240 Å, c = 6.0474 Å
α = 90.00°, β = 118.45°, γ = 90.00°
Atoms (fractional coordinates):
K: 0.1326 0.0000 0.3017
K: 0.8674 0.5000 0.6983
Ba: 0.4842 0.2530 0.9950
Ba: 0.5158 0.7530 0.0050
Si: 0.2007 0.5162 0.3782
Si: 0.7993 0.0162 0.6218
H: 0.0116 0.2804 0.4555
H: 0.9884 0.7804 0.5445
O: 0.0036 0.6735 0.3232
O: 0.0105 0.3415 0.3071
O: 0.3355 0.5122 0.1965
O: 0.4079 0.5038 0.6793
O: 0.5921 0.0038 0.3207
O: 0.6645 0.0122 0.8035
O: 0.9895 0.8415 0.6929
O: 0.9964 0.1735 0.6768

The 6 most intense peaks (10 to 90 degrees two-theta), most intense first:
| d (Å) | I/Imax |
| --- | --- |
| 3.183 | 100 |
| 3.228 | 80 |
| 3.052 | 62 |
| 5.125 | 51 |
| 3.195 | 48 |
| 3.021 | 48 |

=====

No. 4
For HoNp2P3, a GGA-PBE-relaxed structure gives the simulated X-ray diffraction stick pattern in this record (copper Kα).
Peak positions follow from Bragg's law for the DFT cell and can differ from measured ones.

Atomic structure:
a = 13.1462 Å, b = 12.5340 Å, c = 6.8660 Å
α = 79.48°, β = 69.62°, γ = 30.90°
Atoms (fractional coordinates):
Ho: 0.0417 0.0417 0.2083
Ho: 0.2083 0.2083 0.0417
Ho: 0.7917 0.7917 0.9583
Ho: 0.9583 0.9583 0.7917
Np: 0.1244 0.1244 0.6256
Np: 0.2910 0.2910 0.4590
Np: 0.3744 0.3744 0.8756
Np: 0.4590 0.4590 0.2910
Np: 0.5410 0.5410 0.7090
Np: 0.6256 0.6256 0.1244
Np: 0.7090 0.7090 0.5410
Np: 0.8756 0.8756 0.3744
P: 0.0425 0.5424 0.2107
P: 0.1287 0.6213 0.6213
P: 0.2107 0.7044 0.0425
P: 0.2956 0.7893 0.4576
P: 0.3787 0.8713 0.8713
P: 0.4576 0.9575 0.2956
P: 0.5424 0.0425 0.7044
P: 0.6213 0.1287 0.1287
P: 0.7044 0.2107 0.5424
P: 0.7893 0.2956 0.9575
P: 0.8713 0.3787 0.3787
P: 0.9575 0.4576 0.7893

The 6 most intense peaks (10 to 90 degrees two-theta), most intense first:
| d (Å) | I/Imax |
| --- | --- |
| 3.236 | 100 |
| 2.803 | 95 |
| 1.982 | 71 |
| 1.690 | 49 |
| 1.253 | 32 |
| 1.144 | 25 |

=====

No. 5
For GaSiNiOs, a GGA-PBE-relaxed structure gives the simulated X-ray diffraction stick pattern in this record (copper Kα).
Peak positions follow from Bragg's law for the DFT cell and can differ from measured ones.

Atomic structure:
a = 5.1387 Å, b = 5.1387 Å, c = 5.1387 Å
α = 145.78°, β = 136.21°, γ = 56.72°
Atoms (fractional coordinates):
Ga: 0.0000 0.0000 0.0000
Si: 0.2693 0.7693 0.5000
Ni: 0.4588 0.4588 0.0000
Os: 0.7194 0.2194 0.5000

The 6 most intense peaks (10 to 90 degrees two-theta), most intense first:
| d (Å) | I/Imax |
| --- | --- |
| 2.102 | 100 |
| 2.370 | 34 |
| 3.529 | 34 |
| 2.868 | 32 |
| 2.261 | 26 |
| 1.916 | 20 |